Diffraction record for Nb2Si6W. The powder X-ray diffraction pattern is calculated, not measured: it uses a cell relaxed with GGA-PBE and Cu Kα (weighted mean of Kα1 and Kα2).

Structural model:
abc: 4.773 4.773 6.574
angles: 90.00 90.00 120.38
Atoms (fractional coordinates):
Nb 0.000 0.500 0.167
Nb 0.500 0.000 0.833
Si 0.181 0.339 0.832
Si 0.339 0.181 0.168
Si 0.339 0.661 0.500
Si 0.661 0.339 0.500
Si 0.661 0.819 0.168
Si 0.819 0.661 0.832
W 0.000 0.000 0.500

Most intense lines, 2θ = 5–70°, sorted by position:
2θ = 21.58°, rel. 39; 2θ = 25.42°, rel. 64; 2θ = 25.53°, rel. 98; 2θ = 34.90°, rel. 73; 2θ = 40.20°, rel. 100; 2θ = 40.41°, rel. 59; 2θ = 41.20°, rel. 54; 2θ = 47.06°, rel. 62



Diffraction record for SrZnInAg2. The powder X-ray diffraction pattern is calculated, not measured: it uses a cell relaxed with GGA-PBE and Cu Kα (weighted mean of Kα1 and Kα2).

Structural model:
abc: 6.849 6.849 6.849
angles: 142.46 141.86 54.59
Atoms (fractional coordinates):
Sr 0.000 0.000 0.000
Zn 0.392 0.392 0.000
In 0.251 0.751 0.500
Ag 0.606 0.606 0.000
Ag 0.763 0.263 0.500

Most intense lines, 2θ = 5–70°, sorted by position:
2θ = 14.55°, rel. 12; 2θ = 29.93°, rel. 17; 2θ = 32.07°, rel. 100; 2θ = 40.31°, rel. 25; 2θ = 40.95°, rel. 24; 2θ = 41.31°, rel. 34; 2θ = 42.26°, rel. 17; 2θ = 58.81°, rel. 16



Diffraction record for Pu2ThSe4. The powder X-ray diffraction pattern is calculated, not measured: it uses a cell relaxed with GGA-PBE and Cu Kα (weighted mean of Kα1 and Kα2).

Structural model:
abc: 7.114 7.114 13.853
angles: 90.00 90.00 146.70
Atoms (fractional coordinates):
Pu 0.134 0.866 0.565
Pu 0.134 0.866 0.935
Pu 0.866 0.134 0.065
Pu 0.866 0.134 0.435
Th 0.378 0.622 0.750
Th 0.622 0.378 0.250
Se 0.033 0.967 0.750
Se 0.226 0.774 0.126
Se 0.226 0.774 0.374
Se 0.500 0.500 0.000
Se 0.500 0.500 0.500
Se 0.774 0.226 0.626
Se 0.774 0.226 0.874
Se 0.967 0.033 0.250

Most intense lines, 2θ = 5–70°, sorted by position:
2θ = 23.27°, rel. 100; 2θ = 26.17°, rel. 37; 2θ = 30.15°, rel. 54; 2θ = 32.21°, rel. 77; 2θ = 39.89°, rel. 51; 2θ = 41.94°, rel. 27; 2θ = 44.46°, rel. 77; 2θ = 50.76°, rel. 26



Diffraction record for Sr2Cd5In3. The powder X-ray diffraction pattern is calculated, not measured: it uses a cell relaxed with GGA-PBE and Cu Kα (weighted mean of Kα1 and Kα2).

Structural model:
abc: 4.694 4.694 12.763
angles: 90.00 90.00 90.00
Atoms (fractional coordinates):
Sr 0.000 0.500 0.248
Sr 0.500 0.000 0.752
Cd 0.000 0.000 0.500
Cd 0.000 0.500 0.638
Cd 0.500 0.000 0.362
Cd 0.500 0.500 0.000
Cd 0.500 0.500 0.500
In 0.000 0.000 0.000
In 0.000 0.500 0.858
In 0.500 0.000 0.142

Most intense lines, 2θ = 5–70°, sorted by position:
2θ = 28.31°, rel. 37; 2θ = 30.35°, rel. 100; 2θ = 38.35°, rel. 61; 2θ = 39.16°, rel. 49; 2θ = 40.21°, rel. 33; 2θ = 55.36°, rel. 20; 2θ = 56.78°, rel. 23; 2θ = 64.45°, rel. 22



Diffraction record for SiH3I6. The powder X-ray diffraction pattern is calculated, not measured: it uses a cell relaxed with GGA-PBE and Cu Kα (weighted mean of Kα1 and Kα2).

Structural model:
abc: 8.336 8.557 12.294
angles: 90.00 105.08 90.00
Atoms (fractional coordinates):
Si 0.155 0.000 0.257
Si 0.845 0.500 0.743
H 0.176 0.346 0.649
H 0.337 0.077 0.785
H 0.378 0.043 0.013
H 0.622 0.543 0.987
H 0.663 0.577 0.215
H 0.824 0.846 0.351
I 0.098 0.936 0.049
I 0.170 0.542 0.643
I 0.186 0.057 0.665
I 0.284 0.264 0.289
I 0.351 0.801 0.366
I 0.460 0.605 0.029
I 0.540 0.105 0.971
I 0.649 0.301 0.634
I 0.716 0.764 0.711
I 0.814 0.557 0.335
I 0.830 0.042 0.357
I 0.902 0.436 0.951

Most intense lines, 2θ = 5–70°, sorted by position:
2θ = 22.47°, rel. 63; 2θ = 23.25°, rel. 86; 2θ = 23.83°, rel. 100; 2θ = 25.15°, rel. 36; 2θ = 29.54°, rel. 52; 2θ = 36.13°, rel. 19; 2θ = 38.68°, rel. 21; 2θ = 39.65°, rel. 20



Diffraction record for Ca3VBr8. The powder X-ray diffraction pattern is calculated, not measured: it uses a cell relaxed with GGA-PBE and Cu Kα (weighted mean of Kα1 and Kα2).

Structural model:
abc: 8.307 8.307 8.478
angles: 119.62 119.62 60.01
Atoms (fractional coordinates):
Ca 0.000 0.000 0.000
Ca 0.000 0.500 0.000
Ca 0.500 0.000 0.000
V 0.500 0.500 0.000
Br 0.244 0.244 0.231
Br 0.266 0.728 0.220
Br 0.272 0.272 0.780
Br 0.272 0.734 0.780
Br 0.728 0.266 0.220
Br 0.728 0.728 0.220
Br 0.734 0.272 0.780
Br 0.756 0.756 0.769

Most intense lines, 2θ = 5–70°, sorted by position:
2θ = 12.72°, rel. 55; 2θ = 25.59°, rel. 23; 2θ = 26.20°, rel. 71; 2θ = 30.12°, rel. 100; 2θ = 30.26°, rel. 50; 2θ = 42.87°, rel. 32; 2θ = 43.58°, rel. 52; 2θ = 53.97°, rel. 17



What did the fourth record say?
Diffraction record for Sr2Cd5In3. The powder X-ray diffraction pattern is calculated, not measured: it uses a cell relaxed with GGA-PBE and Cu Kα (weighted mean of Kα1 and Kα2).

Structural model:
abc: 4.694 4.694 12.763
angles: 90.00 90.00 90.00
Atoms (fractional coordinates):
Sr 0.000 0.500 0.248
Sr 0.500 0.000 0.752
Cd 0.000 0.000 0.500
Cd 0.000 0.500 0.638
Cd 0.500 0.000 0.362
Cd 0.500 0.500 0.000
Cd 0.500 0.500 0.500
In 0.000 0.000 0.000
In 0.000 0.500 0.858
In 0.500 0.000 0.142

Most intense lines, 2θ = 5–70°, sorted by position:
2θ = 28.31°, rel. 37; 2θ = 30.35°, rel. 100; 2θ = 38.35°, rel. 61; 2θ = 39.16°, rel. 49; 2θ = 40.21°, rel. 33; 2θ = 55.36°, rel. 20; 2θ = 56.78°, rel. 23; 2θ = 64.45°, rel. 22



Repeat the second record exactly.
Diffraction record for SrZnInAg2. The powder X-ray diffraction pattern is calculated, not measured: it uses a cell relaxed with GGA-PBE and Cu Kα (weighted mean of Kα1 and Kα2).

Structural model:
abc: 6.849 6.849 6.849
angles: 142.46 141.86 54.59
Atoms (fractional coordinates):
Sr 0.000 0.000 0.000
Zn 0.392 0.392 0.000
In 0.251 0.751 0.500
Ag 0.606 0.606 0.000
Ag 0.763 0.263 0.500

Most intense lines, 2θ = 5–70°, sorted by position:
2θ = 14.55°, rel. 12; 2θ = 29.93°, rel. 17; 2θ = 32.07°, rel. 100; 2θ = 40.31°, rel. 25; 2θ = 40.95°, rel. 24; 2θ = 41.31°, rel. 34; 2θ = 42.26°, rel. 17; 2θ = 58.81°, rel. 16



Repeat the second record exactly.
Diffraction record for SrZnInAg2. The powder X-ray diffraction pattern is calculated, not measured: it uses a cell relaxed with GGA-PBE and Cu Kα (weighted mean of Kα1 and Kα2).

Structural model:
abc: 6.849 6.849 6.849
angles: 142.46 141.86 54.59
Atoms (fractional coordinates):
Sr 0.000 0.000 0.000
Zn 0.392 0.392 0.000
In 0.251 0.751 0.500
Ag 0.606 0.606 0.000
Ag 0.763 0.263 0.500

Most intense lines, 2θ = 5–70°, sorted by position:
2θ = 14.55°, rel. 12; 2θ = 29.93°, rel. 17; 2θ = 32.07°, rel. 100; 2θ = 40.31°, rel. 25; 2θ = 40.95°, rel. 24; 2θ = 41.31°, rel. 34; 2θ = 42.26°, rel. 17; 2θ = 58.81°, rel. 16